Starting from the GGA-PBE geometry in Alexandria, the powder diffraction line list of Y11Er4Tm9 was computed for CuKα.

Structure:
abc: 14.998 14.998 3.643
angles: 90.00 90.00 112.98
Fractional coordinates of all 24 atoms:
Y: 0.000 0.000 0.000
Y: 0.044 0.406 0.000
Y: 0.160 0.840 0.000
Y: 0.293 0.293 0.000
Y: 0.368 0.632 0.000
Y: 0.406 0.044 0.000
Y: 0.594 0.956 0.000
Y: 0.632 0.368 0.000
Y: 0.707 0.707 0.000
Y: 0.840 0.160 0.000
Y: 0.956 0.594 0.000
Er: 0.244 0.446 0.500
Er: 0.446 0.244 0.500
Er: 0.554 0.756 0.500
Er: 0.756 0.554 0.500
Tm: 0.070 0.215 0.500
Tm: 0.165 0.631 0.500
Tm: 0.215 0.070 0.500
Tm: 0.369 0.835 0.500
Tm: 0.500 0.500 0.500
Tm: 0.631 0.165 0.500
Tm: 0.785 0.930 0.500
Tm: 0.835 0.369 0.500
Tm: 0.930 0.785 0.500

Principal peaks in the range 15° ≤ 2θ ≤ 90°, in order of falling intensity:
| d_spacing | Position (°2θ) | I/Imax |
| --- | --- | --- |
| 2.739 | 32.69 | 1000 |
| 2.939 | 30.42 | 614 |
| 1.548 | 59.74 | 151 |
| 2.857 | 31.31 | 150 |
| 1.821 | 50.08 | 123 |
| 2.695 | 33.24 | 117 |
| 3.643 | 24.43 | 110 |
| 1.510 | 61.42 | 90 |
| 2.287 | 39.40 | 77 |
| 1.462 | 63.63 | 77 |
| 2.167 | 41.69 | 74 |
| 2.190 | 41.22 | 74 |

Starting from the GGA-PBE geometry in Alexandria, the powder diffraction line list of Co2Mo3N was computed for CuKα.

Structure:
abc: 6.666 6.666 6.666
angles: 90.00 90.00 90.00
Fractional coordinates of all 24 atoms:
Co: 0.069 0.069 0.069
Co: 0.181 0.819 0.319
Co: 0.319 0.181 0.819
Co: 0.431 0.931 0.569
Co: 0.569 0.431 0.931
Co: 0.681 0.681 0.681
Co: 0.819 0.319 0.181
Co: 0.931 0.569 0.431
Mo: 0.049 0.875 0.701
Mo: 0.125 0.201 0.451
Mo: 0.201 0.451 0.125
Mo: 0.299 0.549 0.625
Mo: 0.375 0.799 0.951
Mo: 0.451 0.125 0.201
Mo: 0.549 0.625 0.299
Mo: 0.625 0.299 0.549
Mo: 0.701 0.049 0.875
Mo: 0.799 0.951 0.375
Mo: 0.875 0.701 0.049
Mo: 0.951 0.375 0.799
N: 0.125 0.625 0.875
N: 0.375 0.375 0.375
N: 0.625 0.875 0.125
N: 0.875 0.125 0.625

Principal peaks in the range 15° ≤ 2θ ≤ 90°, in order of falling intensity:
| d_spacing | Position (°2θ) | I/Imax |
| --- | --- | --- |
| 2.222 | 40.60 | 1000 |
| 2.108 | 42.91 | 571 |
| 2.010 | 45.11 | 253 |
| 1.307 | 72.28 | 231 |
| 1.238 | 77.05 | 201 |
| 1.571 | 58.77 | 79 |
| 1.127 | 86.35 | 77 |
| 2.981 | 29.98 | 72 |
| 1.111 | 87.89 | 72 |
| 1.490 | 62.29 | 70 |
| 1.781 | 51.28 | 60 |
| 1.217 | 78.62 | 52 |

Starting from the GGA-PBE geometry in Alexandria, the powder diffraction line list of Gd2AlGe2 was computed for CuKα.

Structure:
abc: 5.817 5.817 7.824
angles: 102.95 102.95 58.88
Fractional coordinates of all 10 atoms:
Gd: 0.017 0.275 0.147
Gd: 0.275 0.017 0.647
Gd: 0.725 0.983 0.353
Gd: 0.983 0.725 0.853
Al: 0.331 0.669 0.250
Al: 0.669 0.331 0.750
Ge: 0.235 0.492 0.503
Ge: 0.492 0.235 0.003
Ge: 0.508 0.765 0.997
Ge: 0.765 0.508 0.497

Principal peaks in the range 15° ≤ 2θ ≤ 90°, in order of falling intensity:
| d_spacing | Position (°2θ) | I/Imax |
| --- | --- | --- |
| 2.444 | 36.77 | 1000 |
| 2.675 | 33.49 | 726 |
| 2.830 | 31.61 | 574 |
| 2.373 | 37.92 | 460 |
| 3.452 | 25.81 | 387 |
| 2.262 | 39.86 | 311 |
| 2.559 | 35.07 | 297 |
| 2.873 | 31.13 | 250 |
| 1.704 | 53.81 | 209 |
| 1.728 | 52.98 | 208 |
| 1.453 | 64.09 | 200 |
| 2.478 | 36.25 | 196 |

Starting from the GGA-PBE geometry in Alexandria, the powder diffraction line list of Ca2GaOsO6 was computed for CuKα.

Structure:
abc: 5.593 5.593 3.795
angles: 90.00 90.00 90.00
Fractional coordinates of all 10 atoms:
Ca: 0.000 0.500 0.000
Ca: 0.500 0.000 0.000
Ga: 0.000 0.000 0.500
Os: 0.500 0.500 0.500
O: 0.000 0.000 0.000
O: 0.252 0.252 0.500
O: 0.252 0.748 0.500
O: 0.500 0.500 0.000
O: 0.748 0.252 0.500
O: 0.748 0.748 0.500

Principal peaks in the range 15° ≤ 2θ ≤ 90°, in order of falling intensity:
| d_spacing | Position (°2θ) | I/Imax |
| --- | --- | --- |
| 2.738 | 32.71 | 1000 |
| 3.955 | 22.48 | 576 |
| 2.796 | 32.01 | 529 |
| 1.603 | 57.49 | 403 |
| 1.977 | 45.89 | 378 |
| 5.593 | 15.85 | 371 |
| 3.795 | 23.44 | 260 |
| 1.369 | 68.55 | 205 |
| 3.140 | 28.42 | 189 |
| 1.570 | 58.82 | 188 |
| 1.897 | 47.95 | 164 |
| 1.769 | 51.69 | 124 |

Starting from the GGA-PBE geometry in Alexandria, the powder diffraction line list of Cs3Li2TmI9 was computed for CuKα.

Structure:
abc: 8.440 8.440 10.499
angles: 90.00 90.00 120.00
Fractional coordinates of all 15 atoms:
Cs: 0.000 0.000 0.000
Cs: 0.333 0.667 0.674
Cs: 0.667 0.333 0.326
Li: 0.333 0.667 0.140
Li: 0.667 0.333 0.860
Tm: 0.000 0.000 0.500
I: 0.000 0.500 0.000
I: 0.167 0.334 0.335
I: 0.167 0.833 0.335
I: 0.334 0.167 0.665
I: 0.500 0.000 0.000
I: 0.500 0.500 0.000
I: 0.666 0.833 0.335
I: 0.833 0.167 0.665
I: 0.833 0.666 0.665

Principal peaks in the range 15° ≤ 2θ ≤ 90°, in order of falling intensity:
| d_spacing | Position (°2θ) | I/Imax |
| --- | --- | --- |
| 2.999 | 29.79 | 1000 |
| 3.451 | 25.81 | 913 |
| 2.132 | 42.40 | 375 |
| 2.110 | 42.86 | 363 |
| 3.500 | 25.45 | 310 |
| 1.807 | 50.51 | 276 |
| 1.726 | 53.07 | 194 |
| 1.347 | 69.83 | 166 |
| 1.336 | 70.50 | 166 |
| 1.821 | 50.10 | 143 |
| 1.800 | 50.71 | 139 |
| 1.222 | 78.20 | 125 |

Starting from the GGA-PBE geometry in Alexandria, the powder diffraction line list of Sr4P2F5 was computed for CuKα.

Structure:
abc: 9.707 9.707 6.268
angles: 97.01 97.01 22.86
Fractional coordinates of all 11 atoms:
Sr: 0.071 0.071 0.222
Sr: 0.299 0.299 0.268
Sr: 0.701 0.701 0.732
Sr: 0.929 0.929 0.778
P: 0.448 0.448 0.425
P: 0.552 0.552 0.575
F: 0.187 0.187 0.993
F: 0.194 0.194 0.469
F: 0.500 0.500 0.000
F: 0.806 0.806 0.531
F: 0.813 0.813 0.007

Principal peaks in the range 15° ≤ 2θ ≤ 90°, in order of falling intensity:
| d_spacing | Position (°2θ) | I/Imax |
| --- | --- | --- |
| 3.260 | 27.36 | 1000 |
| 4.008 | 22.18 | 643 |
| 3.553 | 25.06 | 579 |
| 2.361 | 38.11 | 439 |
| 2.188 | 41.27 | 339 |
| 3.189 | 27.98 | 313 |
| 2.132 | 42.39 | 306 |
| 2.695 | 33.25 | 280 |
| 1.821 | 50.09 | 266 |
| 1.924 | 47.25 | 262 |
| 1.491 | 62.25 | 225 |
| 1.953 | 46.51 | 223 |

Starting from the GGA-PBE geometry in Alexandria, the powder diffraction line list of PrSi2Rh5 was computed for CuKα.

Structure:
abc: 3.906 6.726 9.916
angles: 90.00 90.00 90.00
Fractional coordinates of all 16 atoms:
Pr: 0.000 0.000 0.000
Pr: 0.500 0.500 0.500
Si: 0.000 0.500 0.234
Si: 0.000 0.500 0.766
Si: 0.500 0.000 0.266
Si: 0.500 0.000 0.734
Rh: 0.000 0.201 0.352
Rh: 0.000 0.201 0.648
Rh: 0.000 0.500 0.000
Rh: 0.000 0.799 0.352
Rh: 0.000 0.799 0.648
Rh: 0.500 0.000 0.500
Rh: 0.500 0.299 0.148
Rh: 0.500 0.299 0.852
Rh: 0.500 0.701 0.148
Rh: 0.500 0.701 0.852

Principal peaks in the range 15° ≤ 2θ ≤ 90°, in order of falling intensity:
| d_spacing | Position (°2θ) | I/Imax |
| --- | --- | --- |
| 2.468 | 36.40 | 1000 |
| 2.523 | 35.58 | 985 |
| 1.996 | 45.45 | 473 |
| 1.953 | 46.49 | 309 |
| 2.784 | 32.15 | 294 |
| 1.396 | 67.05 | 267 |
| 1.238 | 77.00 | 181 |
| 1.945 | 46.71 | 147 |
| 2.966 | 30.13 | 119 |
| 1.599 | 57.66 | 103 |
| 1.399 | 66.86 | 101 |
| 1.205 | 79.53 | 100 |